Diffraction record for TbGdBiI. The powder diffraction line list is calculated, not measured: it uses the PBE geometry in Alexandria and Cu Kα, 1.54184 Å.
Lines closer than 0.1° are merged.

Structure:
Unit cell a=7.766 b=7.766 c=7.766 alpha=90.00 beta=90.00 gamma=90.00
Space group F-43m (No. 216)
Inequivalent atoms, fractional coordinates:
Tb (0.000, 0.000, 0.000)
Gd (0.000, 0.000, 0.500)
Bi (0.250, 0.250, 0.750)
I (0.250, 0.250, 0.250)

Top 10 peaks for 2θ = 10–80°, sorted by position:
2θ (°)	d [Å]	I (rel.)	h k l
19.80	4.484	3	1 1 1
32.61	2.746	100	2 2 0
38.45	2.342	2	3 1 1
46.79	1.941	18	4 0 0
51.28	1.782	1	3 3 1
58.20	1.585	39	4 2 2
62.10	1.495	1	5 1 1
68.33	1.373	12	4 4 0
71.93	1.313	1	5 3 1
77.78	1.228	17	6 2 0

=====

Diffraction record for TaAg2Br8. The powder diffraction line list is calculated, not measured: it uses the PBE geometry in Alexandria and Cu Kα, 1.54184 Å.
Lines closer than 0.1° are merged.

Structure:
Unit cell a=6.819 b=7.271 c=8.747 alpha=82.15 beta=78.82 gamma=81.16
Space group P-1 (No. 2)
Inequivalent atoms, fractional coordinates:
Ta (0.000, 0.000, 0.000)
Ag (0.014, 0.358, 0.683)
Br (0.083, 0.051, 0.259)
Br (0.209, 0.675, 0.013)
Br (0.284, 0.508, 0.471)
Br (0.312, 0.142, 0.857)

Top 12 peaks for 2θ = 10–80°, sorted by position:
2θ (°)	d [Å]	I (rel.)	h k l
10.37	8.529	21	0 0 1
13.35	6.631	90	1 0 0
15.28	5.799	100	0 1 1
17.90	4.957	19	1 1 1
26.80	3.327	22	1 2 1
29.89	2.989	27	1 -2 0
31.88	2.807	24	1 -2 1
31.98	2.798	15	1 0 3
38.27	2.352	20	2 2 -1
38.92	2.314	16	2 1 -2
40.31	2.237	16	2 -2 1
47.01	1.933	16	0 3 3